Starting from a DFT-relaxed cell (GGA-PBE, Alexandria), the powder XRD pattern of PmPr2ErTh was calculated for CuKα.
Peak positions follow from Bragg's law for the DFT cell and can differ from measured ones.

Structure:
```
data_PmPr2ErTh
_chemical_formula_sum 'Pm2 Pr4 Er2 Th2'
_space_group_name_H-M_alt 'P 1 2/c 1'
_space_group_IT_number 13
_cell_length_a 8.745
_cell_length_b 6.330
_cell_length_c 6.403
_cell_angle_alpha 90.00
_cell_angle_beta 90.48
_cell_angle_gamma 90.00
loop_
_space_group_symop_operation_xyz
'x,y,z'
'-x,-y,-z'
'-x,y,-z+1/2'
'x,-y,z+1/2'
loop_
_atom_site_label
_atom_site_type_symbol
_atom_site_fract_x
_atom_site_fract_y
_atom_site_fract_z
_atom_site_occupancy
Pm1 Pm 0.000 0.039 0.250 1
Pr1 Pr 0.313 0.208 0.747 1
Er1 Er 0.500 0.316 0.250 1
Th1 Th 0.000 0.500 0.000 1
```

Principal peaks in the range 10 to 90 degrees two-theta, low angle first:
- d = 4.372 Å, rel. 47, hkl 2 0 0
- d = 3.145 Å, rel. 53, hkl 2 1 -1
- d = 3.127 Å, rel. 54, hkl 2 1 1
- d = 2.976 Å, rel. 100, hkl 1 2 0
- d = 2.857 Å, rel. 40, hkl 0 1 2
- d = 2.722 Å, rel. 41, hkl 1 1 -2
- d = 2.710 Å, rel. 41, hkl 1 1 2
- d = 2.564 Å, rel. 37, hkl 2 2 0

Starting from a DFT-relaxed cell (GGA-PBE, Alexandria), the powder XRD pattern of MnBi2Te4 was calculated for CuKα.
Peak positions follow from Bragg's law for the DFT cell and can differ from measured ones.

Structure:
```
data_MnBi2Te4
_chemical_formula_sum 'Mn3 Bi6 Te12'
_space_group_name_H-M_alt 'R -3 m'
_space_group_IT_number 166
_space_group_name_Hall '-R 3 2"'
_cell_length_a 4.3508
_cell_length_b 4.3508
_cell_length_c 42.3818
_cell_angle_alpha 90.00
_cell_angle_beta 90.00
_cell_angle_gamma 120.00
loop_
_atom_site_label
_atom_site_type_symbol
_atom_site_fract_x
_atom_site_fract_y
_atom_site_fract_z
_atom_site_occupancy
Mn1 Mn 0.0000 0.0000 0.0000 1
Bi1 Bi 0.0000 0.0000 0.4202 1
Te1 Te 0.0000 0.0000 0.1282 1
Te2 Te 0.0000 0.0000 0.2975 1
```

Principal peaks in the range 10 to 90 degrees two-theta, low angle first:
- d = 7.064 Å, rel. 19, hkl 0 0 6
- d = 3.199 Å, rel. 100, hkl 1 0 7
- d = 2.694 Å, rel. 20, hkl 0 1 11
- d = 2.359 Å, rel. 25, hkl 0 0 18
- d = 2.175 Å, rel. 44, hkl 1 1 0
- d = 2.079 Å, rel. 24, hkl 0 1 17
- d = 1.799 Å, rel. 19, hkl 0 2 7
- d = 1.598 Å, rel. 17, hkl 1 1 18